[1]
Diffraction record for TiSn2. The powder X-ray diffraction pattern is simulated, not measured: it uses a GGA-PBE-relaxed structure and CuKα.
Peak positions follow from Bragg's law for the DFT cell and can differ from measured ones.

Top 6 peaks for 10° ≤ 2θ ≤ 90°, sorted by position:
2θ (°)  Rel. int.  index
32.93  100  2 1 1
40.80  23  3 1 0
41.73  27  2 0 2
56.79  27  4 1 1
58.25  20  2 1 3
66.05  18  3 3 2

Structure:
```
data_TiSn2
_symmetry_space_group_name_H-M 'I 4/m c m'
_symmetry_Int_Tables_number 140
_symmetry_space_group_name_Hall '-I 4 2c'
_cell_length_a 6.994
_cell_length_b 6.994
_cell_length_c 5.511
_cell_angle_alpha 90.00
_cell_angle_beta 90.00
_cell_angle_gamma 90.00
loop_
_atom_site_label
_atom_site_fract_x
_atom_site_fract_y
_atom_site_fract_z
Ti1 0.000 0.000 0.250
Sn1 0.171 0.329 0.000
```

=====

[2]
Diffraction record for V6Ni12Pt. The powder X-ray diffraction pattern is simulated, not measured: it uses a GGA-PBE-relaxed structure and CuKα.
Peak positions follow from Bragg's law for the DFT cell and can differ from measured ones.

Top 6 peaks for 10° ≤ 2θ ≤ 90°, sorted by position:
2θ (°)  Rel. int.  index
36.38  100  1 3 1
41.32  77  1 1 3
42.67  25  3 1 2
49.00  51  2 3 2
52.63  36  2 4 1
54.77  42  5 0 2

Structure:
```
data_V6Ni12Pt
_symmetry_space_group_name_H-M 'R -3 m'
_symmetry_Int_Tables_number 166
_symmetry_space_group_name_Hall '-R 3 2"'
_cell_length_a 10.9552
_cell_length_b 10.9552
_cell_length_c 7.1482
_cell_angle_alpha 90.00
_cell_angle_beta 90.00
_cell_angle_gamma 120.00
loop_
_atom_site_label
_atom_site_fract_x
_atom_site_fract_y
_atom_site_fract_z
V1 0.0350 0.5175 0.2098
Ni1 0.0000 0.3904 0.5000
Ni2 0.0739 0.1478 0.3004
Pt1 0.0000 0.0000 0.0000
```